No. 1
Y2NiGe6: calculated powder X-ray diffraction pattern (Cu Kα X-rays), based on a structure optimized by DFT (GGA-PBE).
Peak positions follow from Bragg's law for the DFT cell and can differ from measured ones.

Structural model:
Cell lengths 3.949, 21.706, 4.090 Å; angles 90.00, 90.00, 90.00 degrees
Space group Cmmm (No. 65)
One atom of each set of equivalent atoms:
Y: 0.000 0.174 0.000 [4 per cell]
Ni: 0.000 0.500 0.500 [2 per cell]
Ge: 0.000 0.067 0.500 [4 per cell]
Ge: 0.000 0.289 0.500 [4 per cell]
Ge: 0.000 0.435 0.000 [4 per cell]

The 10 most intense peaks (10° ≤ 2θ ≤ 90°), in order of rising 2θ:
27.3°, I 22.2, (0 4 1)
33.0°, I 35.0, (0 8 0)
33.9°, I 58.1, (1 3 1)
37.8°, I 100.0, (1 5 1)
43.2°, I 18.5, (1 7 1)
44.3°, I 34.4, (0 0 2)
46.0°, I 30.8, (2 0 0)
64.2°, I 17.4, (0 14 1)
65.7°, I 20.5, (2 0 2)
77.2°, I 19.4, (1 5 3)

No. 2
Cu9Ag: calculated powder X-ray diffraction pattern (Cu Kα X-rays), based on a structure optimized by DFT (GGA-PBE).
Peak positions follow from Bragg's law for the DFT cell and can differ from measured ones.

Structural model:
Cell lengths 2.620, 3.599, 13.101 Å; angles 90.00, 90.00, 90.00 degrees
Space group Pmmm (No. 47)
One atom of each set of equivalent atoms:
Cu: 0.000 0.000 0.000 [1 per cell]
Cu: 0.000 0.000 0.193 [2 per cell]
Cu: 0.000 0.000 0.384 [2 per cell]
Cu: 0.500 0.500 0.096 [2 per cell]
Cu: 0.500 0.500 0.290 [2 per cell]
Ag: 0.500 0.500 0.500 [1 per cell]

The 10 most intense peaks (10° ≤ 2θ ≤ 90°), in order of rising 2θ:
32.2°, I 1.3, (0 1 3)
37.1°, I 2.5, (0 1 4)
42.7°, I 100.0, (1 1 0)
44.3°, I 1.5, (1 0 4)
49.2°, I 31.0, (1 0 5)
50.7°, I 15.2, (0 2 0)
72.1°, I 8.4, (2 0 0)
73.3°, I 17.1, (1 2 5)
87.6°, I 18.9, (2 1 5)
89.9°, I 10.4, (1 3 0)